Record 1
Simulated powder diffractogram
Compound: Pr2TlAsO5
Radiation: λ = 1.5418 Å (Cu Kα)
Structure: a cell relaxed with PBE
Kinematic intensities with the Lorentz-polarization factor, no thermal factor.

Main lines, in order of rising 2θ (15° ≤ 2θ ≤ 90°):
- 2θ = 23.3°, d 3.815, I 24
- 2θ = 28.7°, d 3.106, I 13
- 2θ = 29.5°, d 3.030, I 35
- 2θ = 29.7°, d 3.013, I 100
- 2θ = 32.4°, d 2.764, I 34
- 2θ = 36.6°, d 2.455, I 24
- 2θ = 41.1°, d 2.196, I 19
- 2θ = 41.6°, d 2.169, I 26
- 2θ = 47.7°, d 1.908, I 23
- 2θ = 52.4°, d 1.746, I 21

Structure:
```
Pr2TlAsO5
1.0
6.9450 0.0000 0.0000
0.0000 6.9450 0.0000
0.0000 0.0000 6.0597
Pr Tl As O
4 2 2 10
Direct
0.1772 0.3228 0.0000
0.3228 0.8228 0.0000
0.6772 0.1772 0.0000
0.8228 0.6772 0.0000
0.0000 0.0000 0.5000
0.5000 0.5000 0.5000
0.0000 0.5000 0.5000
0.5000 0.0000 0.5000
0.0000 0.0000 0.0000
0.1339 0.6339 0.2456
0.1339 0.6339 0.7544
0.3661 0.1339 0.2456
0.3661 0.1339 0.7544
0.5000 0.5000 0.0000
0.6339 0.8661 0.2456
0.6339 0.8661 0.7544
0.8661 0.3661 0.2456
0.8661 0.3661 0.7544
```

Record 2
Simulated powder diffractogram
Compound: Mg4CdRh
Radiation: λ = 1.5418 Å (Cu Kα)
Structure: a cell relaxed with PBE
Kinematic intensities with the Lorentz-polarization factor, no thermal factor.

Main lines, in order of rising 2θ (15° ≤ 2θ ≤ 90°):
- 2θ = 16.2°, d 5.471, I 70
- 2θ = 28.5°, d 3.127, I 55
- 2θ = 37.0°, d 2.432, I 100
- 2θ = 39.0°, d 2.308, I 46
- 2θ = 42.5°, d 2.126, I 24
- 2θ = 50.2°, d 1.818, I 19
- 2θ = 56.4°, d 1.632, I 15
- 2θ = 64.4°, d 1.447, I 10
- 2θ = 65.2°, d 1.431, I 14
- 2θ = 69.4°, d 1.355, I 29

Structure:
```
Mg4CdRh
1.0
3.2633 0.0000 0.0000
0.0000 3.2633 0.0000
0.0000 0.0000 10.9416
Mg Cd Rh
4 1 1
Direct
0.0000 0.0000 0.1298
0.0000 0.0000 0.8702
0.5000 0.5000 0.3235
0.5000 0.5000 0.6765
0.0000 0.0000 0.5000
0.5000 0.5000 0.0000
```

Record 3
Simulated powder diffractogram
Compound: Tb3Ho8Pu
Radiation: λ = 1.5418 Å (Cu Kα)
Structure: a cell relaxed with PBE
Kinematic intensities with the Lorentz-polarization factor, no thermal factor.

Main lines, in order of rising 2θ (15° ≤ 2θ ≤ 90°):
- 2θ = 21.5°, d 4.139, I 34
- 2θ = 24.5°, d 3.639, I 48
- 2θ = 29.4°, d 3.038, I 71
- 2θ = 31.7°, d 2.826, I 51
- 2θ = 33.3°, d 2.691, I 33
- 2θ = 36.7°, d 2.449, I 100
- 2θ = 43.7°, d 2.069, I 38
- 2θ = 45.1°, d 2.008, I 39
- 2θ = 57.0°, d 1.615, I 30
- 2θ = 59.7°, d 1.548, I 33

Structure:
```
Tb3Ho8Pu
1.0
-4.2970 4.2970 5.6521
4.2970 -4.2970 5.6521
4.2970 4.2970 -5.6521
Tb Ho Pu
3 8 1
Direct
0.0000 0.0000 0.0000
0.2500 0.7500 0.5000
0.7500 0.2500 0.5000
0.1410 0.3938 0.0000
0.2368 0.2368 0.5381
0.3014 0.7632 0.0000
0.3938 0.1410 0.0000
0.6062 0.6062 0.7472
0.6986 0.6986 0.4619
0.7632 0.3014 0.0000
0.8590 0.8590 0.2528
0.5000 0.5000 0.0000
```

Record 4
Simulated powder diffractogram
Compound: Ca2AlHg3
Radiation: λ = 1.5418 Å (Cu Kα)
Structure: a cell relaxed with PBE
Kinematic intensities with the Lorentz-polarization factor, no thermal factor.

Main lines, in order of rising 2θ (15° ≤ 2θ ≤ 90°):
- 2θ = 21.0°, d 4.224, I 41
- 2θ = 22.0°, d 4.043, I 28
- 2θ = 24.6°, d 3.616, I 55
- 2θ = 30.6°, d 2.921, I 19
- 2θ = 32.6°, d 2.747, I 89
- 2θ = 36.9°, d 2.439, I 100
- 2θ = 44.8°, d 2.022, I 68
- 2θ = 50.0°, d 1.824, I 26
- 2θ = 63.7°, d 1.461, I 24
- 2θ = 64.1°, d 1.452, I 40

Structure:
```
Ca2AlHg3
1.0
0.0000 4.8796 8.4451
3.6157 0.0000 8.4451
3.6157 4.8796 0.0000
Ca Al Hg
4 2 6
Direct
0.2432 0.7568 0.7568
0.2500 0.2500 0.2500
0.7500 0.7500 0.7500
0.7568 0.2432 0.2432
0.3331 0.3331 0.6669
0.6669 0.6669 0.3331
0.1725 0.1725 0.8275
0.1741 0.6534 0.3466
0.3466 0.8259 0.1741
0.6534 0.1741 0.8259
0.8259 0.3466 0.6534
0.8275 0.8275 0.1725
```

Record 5
Simulated powder diffractogram
Compound: ScZnTe
Radiation: λ = 1.5418 Å (Cu Kα)
Structure: a cell relaxed with PBE
Kinematic intensities with the Lorentz-polarization factor, no thermal factor.

Main lines, in order of rising 2θ (15° ≤ 2θ ≤ 90°):
- 2θ = 24.2°, d 3.671, I 100
- 2θ = 26.5°, d 3.366, I 39
- 2θ = 27.5°, d 3.246, I 30
- 2θ = 31.9°, d 2.807, I 77
- 2θ = 41.2°, d 2.190, I 90
- 2θ = 41.5°, d 2.175, I 67
- 2θ = 50.3°, d 1.815, I 34
- 2θ = 59.9°, d 1.543, I 22
- 2θ = 72.5°, d 1.304, I 20
- 2θ = 75.3°, d 1.262, I 22

Structure:
```
ScZnTe
1.0
2.1899 1.2643 9.7368
-2.1899 1.2643 9.7368
0.0000 -2.5287 9.7368
Sc Zn Te
2 2 2
Direct
0.0563 0.0563 0.0563
0.9437 0.9437 0.9437
0.3285 0.3285 0.3285
0.6715 0.6715 0.6715
0.2293 0.2293 0.2293
0.7707 0.7707 0.7707
```

Record 6
Simulated powder diffractogram
Compound: GaCuPd4
Radiation: λ = 1.5418 Å (Cu Kα)
Structure: a cell relaxed with PBE
Kinematic intensities with the Lorentz-polarization factor, no thermal factor.

Main lines, in order of rising 2θ (15° ≤ 2θ ≤ 90°):
- 2θ = 37.9°, d 2.373, I 22
- 2θ = 39.8°, d 2.265, I 100
- 2θ = 40.2°, d 2.246, I 18
- 2θ = 40.3°, d 2.240, I 25
- 2θ = 40.6°, d 2.221, I 17
- 2θ = 40.9°, d 2.205, I 27
- 2θ = 41.9°, d 2.157, I 29
- 2θ = 43.2°, d 2.094, I 36
- 2θ = 43.3°, d 2.087, I 36
- 2θ = 65.1°, d 1.432, I 18

Structure:
```
GaCuPd4
1.0
7.1862 0.0000 0.0000
0.0000 2.8650 0.0000
0.0000 0.0000 17.2588
Ga Cu Pd
4 4 16
Direct
0.2491 0.2500 0.0466
0.2509 0.7500 0.5466
0.7491 0.2500 0.4534
0.7509 0.7500 0.9534
0.2109 0.2500 0.8123
0.2891 0.7500 0.3123
0.7109 0.2500 0.6877
0.7891 0.7500 0.1877
0.0170 0.7500 0.7128
0.0376 0.7500 0.4260
0.1050 0.7500 0.9357
0.1601 0.7500 0.1643
0.3399 0.2500 0.6643
0.3950 0.2500 0.4357
0.4624 0.2500 0.9260
0.4830 0.2500 0.2128
0.5170 0.7500 0.7872
0.5376 0.7500 0.0740
0.6050 0.7500 0.5643
0.6601 0.7500 0.3357
0.8399 0.2500 0.8357
0.8950 0.2500 0.0643
0.9624 0.2500 0.5740
0.9830 0.2500 0.2872
```

Record 7
Simulated powder diffractogram
Compound: Y5Si14Os4
Radiation: λ = 1.5418 Å (Cu Kα)
Structure: a cell relaxed with PBE
Kinematic intensities with the Lorentz-polarization factor, no thermal factor.

Main lines, in order of rising 2θ (15° ≤ 2θ ≤ 90°):
- 2θ = 20.0°, d 4.449, I 100
- 2θ = 21.1°, d 4.215, I 71
- 2θ = 22.2°, d 3.997, I 66
- 2θ = 33.4°, d 2.684, I 92
- 2θ = 35.3°, d 2.542, I 67
- 2θ = 35.5°, d 2.530, I 51
- 2θ = 35.7°, d 2.516, I 83
- 2θ = 36.1°, d 2.487, I 75
- 2θ = 47.4°, d 1.919, I 59
- 2θ = 66.0°, d 1.415, I 62

Structure:
```
Y5Si14Os4
1.0
12.7905 0.0000 0.0000
0.0000 8.0579 0.0000
-1.1936 0.0000 7.8707
Y Si Os
10 28 8
Direct
0.0000 0.0000 0.0000
0.0000 0.5000 0.5000
0.3644 0.2459 0.3422
0.3644 0.2541 0.8422
0.3658 0.7489 0.3383
0.3658 0.7511 0.8383
0.6342 0.2489 0.1617
0.6342 0.2511 0.6617
0.6356 0.7459 0.1578
0.6356 0.7541 0.6578
0.0006 0.6676 0.1663
0.0006 0.8324 0.6663
0.1792 0.0063 0.7625
0.1789 0.2208 0.5496
0.1789 0.2792 0.0496
0.1792 0.4937 0.2625
0.1791 0.5055 0.8234
0.1794 0.7206 0.0380
0.1794 0.7794 0.5380
0.1791 0.9945 0.3234
0.4414 0.9996 0.1075
0.4414 0.5004 0.6075
0.4463 0.9997 0.6124
0.4463 0.5003 0.1124
0.5537 0.0003 0.3876
0.5537 0.4997 0.8876
0.5586 0.0004 0.8925
0.5586 0.4996 0.3925
0.8209 0.0055 0.6766
0.8206 0.2206 0.4620
0.8206 0.2794 0.9620
0.8209 0.4945 0.1766
0.8208 0.5063 0.7375
0.8211 0.7208 0.9504
0.8211 0.7792 0.4504
0.8208 0.9937 0.2375
0.9994 0.1676 0.3337
0.9994 0.3324 0.8337
0.0006 0.6262 0.8714
0.0006 0.8738 0.3714
0.2530 0.9999 0.0608
0.2530 0.5001 0.5608
0.7470 0.0001 0.9392
0.7470 0.4999 0.4392
0.9994 0.1262 0.6286
0.9994 0.3738 0.1286
```

Record 8
Simulated powder diffractogram
Compound: SrOsPb2O6
Radiation: λ = 1.5418 Å (Cu Kα)
Structure: a cell relaxed with PBE
Kinematic intensities with the Lorentz-polarization factor, no thermal factor.

Main lines, in order of rising 2θ (15° ≤ 2θ ≤ 90°):
- 2θ = 17.4°, d 5.109, I 33
- 2θ = 28.0°, d 3.187, I 52
- 2θ = 29.5°, d 3.025, I 100
- 2θ = 29.8°, d 3.001, I 99
- 2θ = 31.4°, d 2.852, I 48
- 2θ = 42.3°, d 2.136, I 21
- 2θ = 42.5°, d 2.125, I 46
- 2θ = 46.8°, d 1.939, I 19
- 2θ = 54.6°, d 1.682, I 21
- 2θ = 55.0°, d 1.670, I 21

Structure:
```
SrOsPb2O6
1.0
5.7042 0.0000 0.0000
0.0000 6.3740 0.0000
-5.6148 0.0000 8.5443
Sr Os Pb O
2 2 4 12
Direct
0.0000 0.0000 0.0000
0.0000 0.5000 0.5000
0.5000 0.0000 0.5000
0.5000 0.5000 0.0000
0.2202 0.0487 0.7245
0.2202 0.4513 0.2245
0.7798 0.5487 0.7755
0.7798 0.9513 0.2755
0.1849 0.1598 0.4790
0.1849 0.3402 0.9790
0.2606 0.7442 0.9303
0.2606 0.7558 0.4303
0.3755 0.0652 0.2831
0.3755 0.4348 0.7831
0.6245 0.5652 0.2169
0.6245 0.9348 0.7169
0.7394 0.2442 0.5697
0.7394 0.2558 0.0697
0.8151 0.6598 0.0210
0.8151 0.8402 0.5210
```

Record 9
Simulated powder diffractogram
Compound: Zn2PO4
Radiation: λ = 1.5418 Å (Cu Kα)
Structure: a cell relaxed with PBE
Kinematic intensities with the Lorentz-polarization factor, no thermal factor.

Main lines, in order of rising 2θ (15° ≤ 2θ ≤ 90°):
- 2θ = 21.1°, d 4.215, I 32
- 2θ = 23.1°, d 3.847, I 22
- 2θ = 25.0°, d 3.563, I 33
- 2θ = 34.3°, d 2.614, I 100
- 2θ = 35.6°, d 2.520, I 23
- 2θ = 42.9°, d 2.108, I 22
- 2θ = 51.3°, d 1.782, I 18
- 2θ = 54.2°, d 1.693, I 16
- 2θ = 60.6°, d 1.529, I 23
- 2θ = 63.2°, d 1.472, I 27

Structure:
```
Zn2PO4
1.0
5.0391 0.0000 0.0000
0.0000 5.0391 0.0000
0.0000 0.0000 7.6942
Zn P O
4 2 8
Direct
0.0000 0.5000 0.2500
0.0000 0.5000 0.7500
0.5000 0.0000 0.2500
0.5000 0.0000 0.7500
0.0000 0.0000 0.0000
0.5000 0.5000 0.5000
0.1818 0.1818 0.1163
0.1818 0.8182 0.8837
0.3182 0.3182 0.6163
0.3182 0.6818 0.3837
0.6818 0.3182 0.3837
0.6818 0.6818 0.6163
0.8182 0.1818 0.8837
0.8182 0.8182 0.1163
```

Record 10
Simulated powder diffractogram
Compound: K2Na2Gd4Nb2O13
Radiation: λ = 1.5418 Å (Cu Kα)
Structure: a cell relaxed with PBE
Kinematic intensities with the Lorentz-polarization factor, no thermal factor.

Main lines, in order of rising 2θ (15° ≤ 2θ ≤ 90°):
- 2θ = 25.2°, d 3.530, I 40
- 2θ = 25.6°, d 3.480, I 37
- 2θ = 30.0°, d 2.976, I 100
- 2θ = 30.6°, d 2.926, I 92
- 2θ = 31.5°, d 2.840, I 28
- 2θ = 31.8°, d 2.814, I 34
- 2θ = 41.3°, d 2.186, I 16
- 2θ = 45.4°, d 1.999, I 41
- 2θ = 46.1°, d 1.970, I 16
- 2θ = 55.2°, d 1.664, I 27

Structure:
```
K2Na2Gd4Nb2O13
1.0
12.1778 -2.8400 0.0000
12.1778 2.8400 0.0000
-4.9613 0.0000 10.1061
K Na Gd Nb O
4 4 8 4 26
Direct
0.1958 0.3020 0.1321
0.3020 0.1958 0.6321
0.6980 0.8042 0.3679
0.8042 0.6980 0.8679
0.3020 0.3808 0.4778
0.3808 0.3020 0.9778
0.6192 0.6980 0.0222
0.6980 0.6192 0.5222
0.0156 0.1086 0.9490
0.1086 0.0156 0.4490
0.4022 0.4747 0.3291
0.4747 0.4022 0.8291
0.5253 0.5978 0.1709
0.5978 0.5253 0.6709
0.8914 0.9844 0.5510
0.9844 0.8914 0.0510
0.1150 0.1841 0.2812
0.1841 0.1150 0.7812
0.8159 0.8850 0.2188
0.8850 0.8159 0.7188
0.0635 0.6800 0.3647
0.0941 0.6391 0.1236
0.1329 0.6693 0.6611
0.1461 0.5941 0.8628
0.1695 0.2996 0.3743
0.2506 0.7476 0.5227
0.2524 0.7494 0.9773
0.2581 0.7419 0.2500
0.2996 0.1695 0.8743
0.3200 0.9365 0.1353
0.3307 0.8671 0.8389
0.3609 0.9059 0.3764
0.4059 0.8539 0.6372
0.5941 0.1461 0.3628
0.6391 0.0941 0.6236
0.6693 0.1329 0.1611
0.6800 0.0635 0.8647
0.7004 0.8305 0.1257
0.7419 0.2581 0.7500
0.7476 0.2506 0.0227
0.7494 0.2524 0.4773
0.8305 0.7004 0.6257
0.8539 0.4059 0.1372
0.8671 0.3307 0.3389
0.9059 0.3609 0.8764
0.9365 0.3200 0.6353
```

Record 11
Simulated powder diffractogram
Compound: NbZn2Ni
Radiation: λ = 1.5418 Å (Cu Kα)
Structure: a cell relaxed with PBE
Kinematic intensities with the Lorentz-polarization factor, no thermal factor.

Main lines, in order of rising 2θ (15° ≤ 2θ ≤ 90°):
- 2θ = 40.4°, d 2.230, I 100
- 2θ = 45.4°, d 1.997, I 37
- 2θ = 49.6°, d 1.839, I 2
- 2θ = 50.2°, d 1.818, I 11
- 2θ = 66.2°, d 1.412, I 11
- 2θ = 70.0°, d 1.344, I 16
- 2θ = 73.2°, d 1.293, I 2
- 2θ = 80.5°, d 1.193, I 24
- 2θ = 87.5°, d 1.115, I 9
- 2θ = 87.6°, d 1.114, I 7

Structure:
```
NbZn2Ni
1.0
3.9936 0.0000 0.0000
0.0000 3.9936 0.0000
0.0000 0.0000 14.5458
Nb Zn Ni
4 8 4
Direct
0.0000 0.0000 0.1352
0.0000 0.0000 0.8648
0.5000 0.5000 0.3648
0.5000 0.5000 0.6352
0.0000 0.0000 0.3621
0.0000 0.0000 0.6379
0.0000 0.5000 0.0000
0.0000 0.5000 0.5000
0.5000 0.0000 0.0000
0.5000 0.0000 0.5000
0.5000 0.5000 0.1379
0.5000 0.5000 0.8621
0.0000 0.5000 0.2500
0.0000 0.5000 0.7500
0.5000 0.0000 0.2500
0.5000 0.0000 0.7500
```